Calculated XRD peak list of CuAg6 for a wavelength of 1.5418 Å, from a DFT-relaxed cell (GGA-PBE, OQMD).

Structure:
Lattice parameters (Å, degrees): 10.4709 10.4709 10.4709 164.08 157.69 27.53
Fractional coordinates of all 7 atoms:
Cu1 0.0000 0.0000 0.0000
Ag1 0.1393 0.1393 0.0000
Ag2 0.2865 0.2865 0.0000
Ag3 0.4327 0.4327 0.0000
Ag4 0.5673 0.5673 0.0000
Ag5 0.7135 0.7135 0.0000
Ag6 0.8607 0.8607 0.0000

Main lines, sorted by position (10 to 80 degrees two-theta):
2θ (°)  I_rel
31.16  2
38.14  100
44.12  32
44.74  16
64.09  5
64.24  5
64.65  19
68.13  1
77.16  22
78.05  11



Calculated XRD peak list of Cu10Te for a wavelength of 1.5418 Å, from a DFT-relaxed cell (GGA-PBE, OQMD).

Structure:
Lattice parameters (Å, degrees): 2.6777 2.6777 49.7363 90.00 90.00 90.00
Fractional coordinates of all 22 atoms:
Cu1 0.2500 0.2500 0.0171
Cu2 0.2500 0.2500 0.0853
Cu3 0.2500 0.2500 0.1529
Cu4 0.2500 0.2500 0.2193
Cu5 0.2500 0.2500 0.2862
Cu6 0.2500 0.2500 0.6805
Cu7 0.2500 0.2500 0.7475
Cu8 0.2500 0.2500 0.8138
Cu9 0.2500 0.2500 0.8808
Cu10 0.2500 0.2500 0.9488
Cu11 0.7500 0.7500 0.0512
Cu12 0.7500 0.7500 0.1192
Cu13 0.7500 0.7500 0.1862
Cu14 0.7500 0.7500 0.2525
Cu15 0.7500 0.7500 0.3195
Cu16 0.7500 0.7500 0.7138
Cu17 0.7500 0.7500 0.7807
Cu18 0.7500 0.7500 0.8471
Cu19 0.7500 0.7500 0.9147
Cu20 0.7500 0.7500 0.9829
Te1 0.2500 0.2500 0.3739
Te2 0.7500 0.7500 0.6261

Main lines, sorted by position (10 to 80 degrees two-theta):
2θ (°)  I_rel
38.17  13
39.10  10
41.15  12
42.27  82
43.44  100
48.06  76
55.42  12
70.32  22
74.67  9
76.35  16



Calculated XRD peak list of Nd2SmAl2Ni4 for a wavelength of 1.5418 Å, from a DFT-relaxed cell (GGA-PBE, OQMD).

Structure:
Lattice parameters (Å, degrees): 5.4215 5.4215 8.2701 98.03 98.03 44.88
Fractional coordinates of all 9 atoms:
Nd1 0.1245 0.1245 0.3801
Nd2 0.8755 0.8755 0.6199
Sm1 0.5000 0.5000 0.0000
Al1 0.1782 0.1782 0.7880
Al2 0.8218 0.8218 0.2120
Ni1 0.2352 0.2352 0.0857
Ni2 0.4150 0.4150 0.3628
Ni3 0.5850 0.5850 0.6372
Ni4 0.7648 0.7648 0.9143

Main lines, sorted by position (10 to 80 degrees two-theta):
2θ (°)  I_rel
26.33  100
31.10  36
32.87  26
34.75  53
35.12  33
36.28  27
39.00  66
39.56  41
41.83  39
43.74  41



Calculated XRD peak list of Co2Sn4PdSe12 for a wavelength of 1.5418 Å, from a DFT-relaxed cell (GGA-PBE, OQMD).

Structure:
Lattice parameters (Å, degrees): 6.6738 6.6738 21.7898 102.29 102.29 32.47
Fractional coordinates of all 19 atoms:
Co1 0.0671 0.0671 0.2755
Co2 0.9329 0.9329 0.7245
Sn1 0.3136 0.3136 0.5753
Sn2 0.4732 0.4732 0.1216
Sn3 0.5268 0.5268 0.8784
Sn4 0.6864 0.6864 0.4247
Pd1 0.0000 0.0000 0.0000
Se1 0.0333 0.0333 0.3748
Se2 0.1204 0.1204 0.1090
Se3 0.1542 0.1542 0.9462
Se4 0.3168 0.3168 0.7031
Se5 0.3472 0.3472 0.4564
Se6 0.4446 0.4446 0.2367
Se7 0.5554 0.5554 0.7633
Se8 0.6528 0.6528 0.5436
Se9 0.6832 0.6832 0.2969
Se10 0.8458 0.8458 0.0538
Se11 0.8796 0.8796 0.8910
Se12 0.9667 0.9667 0.6252

Main lines, sorted by position (10 to 80 degrees two-theta):
2θ (°)  I_rel
13.86  66
14.17  21
14.77  38
28.67  27
33.12  100
33.61  39
43.75  17
46.24  17
47.49  35
48.80  26



Calculated XRD peak list of Y2Ga4AgPd for a wavelength of 1.5418 Å, from a DFT-relaxed cell (GGA-PBE, OQMD).

Structure:
Lattice parameters (Å, degrees): 6.6046 5.6088 5.6088 47.24 90.00 90.00
Fractional coordinates of all 8 atoms:
Y1 0.0000 0.0000 0.0000
Y2 0.5000 0.1782 0.1782
Ga1 0.2014 0.7145 0.7145
Ga2 0.3059 0.4673 0.4673
Ga3 0.6941 0.4673 0.4673
Ga4 0.7986 0.7145 0.7145
Ag1 0.0000 0.2916 0.2916
Pd1 0.5000 0.8893 0.8893

Main lines, sorted by position (10 to 80 degrees two-theta):
2θ (°)  I_rel
34.84  100
35.65  78
37.56  28
40.12  46
43.04  39
44.75  16
46.79  20
56.13  17
61.65  12
69.51  19



Calculated XRD peak list of Tb2HoAl3Si2Ir for a wavelength of 1.5418 Å, from a DFT-relaxed cell (GGA-PBE, OQMD).

Structure:
Lattice parameters (Å, degrees): 4.2230 6.9203 6.9203 119.96 90.00 90.00
Fractional coordinates of all 9 atoms:
Tb1 0.0000 0.2079 0.7921
Tb2 0.0000 0.7921 0.2079
Ho1 0.0000 0.3766 0.3766
Al1 0.5000 0.0248 0.0248
Al2 0.5000 0.5589 0.7912
Al3 0.5000 0.7912 0.5589
Si1 0.5000 0.1261 0.4578
Si2 0.5000 0.4578 0.1261
Ir1 0.0000 0.7897 0.7897

Main lines, sorted by position (10 to 80 degrees two-theta):
2θ (°)  I_rel
21.04  59
25.75  30
29.81  56
33.48  51
36.77  100
42.83  23
45.41  38
53.05  23
59.78  24
72.25  22